# 1
Diffraction record for LiCoPO4. The powder diffractogram is simulated, not measured: it uses a cell relaxed with GGA+U and Cu Kα X-rays.
Lines closer than 0.1° are merged.

Structural model:
Unit cell a=10.083 b=5.053 c=13.660 alpha=90.00 beta=90.00 gamma=90.00
Space group Pca2_1 (No. 29)
One atom of each set of equivalent atoms:
Li (0.032, 0.059, 0.000) (multiplicity 4)
Li (0.218, 0.550, 0.251) (multiplicity 4)
Co (0.030, 0.931, 0.749) (multiplicity 4)
Co (0.219, 0.552, 0.001) (multiplicity 4)
P (0.030, 0.438, 0.625) (multiplicity 4)
P (0.217, 0.055, 0.376) (multiplicity 4)
O (0.001, 0.135, 0.627) (multiplicity 4)
O (0.030, 0.437, 0.218) (multiplicity 4)
O (0.033, 0.443, 0.031) (multiplicity 4)
O (0.066, 0.996, 0.375) (multiplicity 4)
O (0.182, 0.495, 0.624) (multiplicity 4)
O (0.220, 0.936, 0.970) (multiplicity 4)
O (0.222, 0.926, 0.783) (multiplicity 4)
O (0.245, 0.357, 0.377) (multiplicity 4)

Largest 10 diffraction maxima, in order of rising 2θ, 10 to 90 degrees two-theta:
h k l  2θ (°)  intensity
2 0 2  21.90  100
2 0 3  26.37  7
1 1 3  27.82  6
2 1 3  31.86  7
1 1 4  32.88  6
4 0 0  35.57  31
2 1 4  36.41  9
4 1 2  42.16  11
2 0 6  43.61  8
0 0 8  53.68  6



# 2
Diffraction record for SrCr2O10. The powder diffractogram is simulated, not measured: it uses a cell relaxed with GGA+U and Cu Kα X-rays.
Lines closer than 0.1° are merged.

Structural model:
Unit cell a=8.942 b=14.998 c=7.276 alpha=90.00 beta=106.12 gamma=90.00
Space group P2_1/c (No. 14)
One atom of each set of equivalent atoms:
Sr (0.193, 0.117, 0.313) (multiplicity 4)
Cr (0.212, 0.630, 0.597) (multiplicity 4)
Cr (0.402, 0.142, 0.903) (multiplicity 4)
O (0.045, 0.226, 0.497) (multiplicity 4)
O (0.058, 0.521, 0.047) (multiplicity 4)
O (0.073, 0.600, 0.410) (multiplicity 4)
O (0.171, 0.732, 0.657) (multiplicity 4)
O (0.217, 0.561, 0.771) (multiplicity 4)
O (0.312, 0.101, 0.694) (multiplicity 4)
O (0.341, 0.092, 0.071) (multiplicity 4)
O (0.361, 0.248, 0.904) (multiplicity 4)
O (0.394, 0.629, 0.543) (multiplicity 4)
O (0.498, 0.037, 0.464) (multiplicity 4)

Largest 10 diffraction maxima, in order of rising 2θ, 10 to 90 degrees two-theta:
h k l  2θ (°)  intensity
1 1 0  11.87  35
1 2 -1  18.30  100
1 1 1  19.39  69
0 3 1  21.86  58
0 4 0  23.73  60
1 3 1  25.71  27
0 1 2  26.18  58
2 2 1  29.76  24
2 4 0  31.67  29
3 2 -1  32.60  32



# 3
Diffraction record for Ba6La2Fe4O15. The powder diffractogram is simulated, not measured: it uses a cell relaxed with GGA+U and Cu Kα X-rays.
Lines closer than 0.1° are merged.

Structural model:
Unit cell a=12.087 b=20.796 c=7.229 alpha=90.00 beta=90.33 gamma=90.00
Space group Cc (No. 9)
One atom of each set of equivalent atoms:
Ba (0.000, 0.000, 0.000) (multiplicity 4)
Ba (0.002, 0.333, 0.480) (multiplicity 4)
Ba (0.239, 0.412, 0.167) (multiplicity 4)
Ba (0.259, 0.088, 0.665) (multiplicity 4)
Ba (0.283, 0.238, 0.332) (multiplicity 4)
Ba (0.498, 0.326, 0.667) (multiplicity 4)
La (0.218, 0.260, 0.835) (multiplicity 4)
La (0.499, 0.020, 0.341) (multiplicity 4)
Fe (0.231, 0.413, 0.671) (multiplicity 4)
Fe (0.269, 0.089, 0.161) (multiplicity 4)
Fe (0.497, 0.322, 0.167) (multiplicity 4)
Fe (0.498, 0.165, 0.527) (multiplicity 4)
O (0.009, 0.249, 0.844) (multiplicity 4)
O (0.119, 0.295, 0.163) (multiplicity 4)
O (0.126, 0.378, 0.847) (multiplicity 4)
O (0.129, 0.195, 0.543) (multiplicity 4)
O (0.135, 0.469, 0.532) (multiplicity 4)
O (0.146, 0.048, 0.264) (multiplicity 4)
O (0.230, 0.161, 0.012) (multiplicity 4)
O (0.269, 0.338, 0.547) (multiplicity 4)
O (0.355, 0.455, 0.767) (multiplicity 4)
O (0.364, 0.032, 0.027) (multiplicity 4)
O (0.370, 0.305, 0.013) (multiplicity 4)
O (0.378, 0.118, 0.343) (multiplicity 4)
O (0.379, 0.205, 0.679) (multiplicity 4)
O (0.495, 0.404, 0.269) (multiplicity 4)
O (0.499, 0.082, 0.672) (multiplicity 4)

Largest 10 diffraction maxima, in order of rising 2θ, 10 to 90 degrees two-theta:
h k l  2θ (°)  intensity
2 0 -2  28.76  22
2 0 2  28.86  21
4 0 0  29.56  50
2 6 0  29.71  100
2 2 -2  29.99  23
2 2 2  30.13  47
3 3 -2  35.71  16
0 6 2  35.90  33
4 4 2  42.83  19
6 6 0  52.56  17



# 4
Diffraction record for Li9Mn2Co5O16. The powder diffractogram is simulated, not measured: it uses a cell relaxed with GGA+U and Cu Kα X-rays.
Lines closer than 0.1° are merged.

Structural model:
Unit cell a=15.324 b=2.899 c=13.060 alpha=90.00 beta=92.80 gamma=90.00
Space group C2/m (No. 12)
One atom of each set of equivalent atoms:
Li (0.000, 0.000, 0.000) (multiplicity 2)
Li (0.063, 0.500, 0.174) (multiplicity 4)
Li (0.065, 0.000, 0.698) (multiplicity 4)
Li (0.185, 0.500, 0.563) (multiplicity 4)
Li (0.188, 0.000, 0.060) (multiplicity 4)
Mn (0.125, 0.000, 0.373) (multiplicity 4)
Co (0.000, 0.500, 0.500) (multiplicity 2)
Co (0.117, 0.500, 0.891) (multiplicity 4)
Co (0.245, 0.000, 0.753) (multiplicity 4)
O (0.039, 0.000, 0.846) (multiplicity 4)
O (0.043, 0.500, 0.343) (multiplicity 4)
O (0.094, 0.000, 0.515) (multiplicity 4)
O (0.098, 0.500, 0.026) (multiplicity 4)
O (0.163, 0.000, 0.231) (multiplicity 4)
O (0.163, 0.500, 0.716) (multiplicity 4)
O (0.208, 0.500, 0.402) (multiplicity 4)
O (0.211, 0.000, 0.897) (multiplicity 4)

Largest 10 diffraction maxima, in order of rising 2θ, 10 to 90 degrees two-theta:
h k l  2θ (°)  intensity
2 0 2  18.30  100
4 0 -4  35.27  14
3 1 -1  36.13  25
2 0 -6  42.67  27
5 1 1  43.80  54
1 1 5  47.49  13
7 1 3  57.67  10
3 1 7  62.72  14
7 1 -5  62.89  13
0 2 0  64.26  8



# 5
Diffraction record for Li7Mn11O24. The powder diffractogram is simulated, not measured: it uses a cell relaxed with GGA+U and Cu Kα X-rays.
Lines closer than 0.1° are merged.

Structural model:
Unit cell a=19.231 b=5.791 c=8.563 alpha=90.00 beta=114.67 gamma=90.00
Space group C2 (No. 5)
One atom of each set of equivalent atoms:
Li (0.000, 0.000, 0.000) (multiplicity 2)
Li (0.079, 0.509, 0.457) (multiplicity 4)
Li (0.101, 0.011, 0.236) (multiplicity 4)
Li (0.247, 0.009, 0.117) (multiplicity 4)
Mn (0.000, 0.009, 0.500) (multiplicity 2)
Mn (0.082, 0.263, 0.841) (multiplicity 4)
Mn (0.082, 0.755, 0.841) (multiplicity 4)
Mn (0.163, 0.509, 0.159) (multiplicity 4)
Mn (0.169, 0.009, 0.683) (multiplicity 4)
Mn (0.250, 0.259, 0.500) (multiplicity 4)
O (0.009, 0.009, 0.774) (multiplicity 4)
O (0.014, 0.509, 0.761) (multiplicity 4)
O (0.085, 0.233, 0.608) (multiplicity 4)
O (0.085, 0.785, 0.608) (multiplicity 4)
O (0.092, 0.263, 0.070) (multiplicity 4)
O (0.092, 0.756, 0.070) (multiplicity 4)
O (0.158, 0.009, 0.894) (multiplicity 4)
O (0.158, 0.509, 0.923) (multiplicity 4)
O (0.172, 0.508, 0.396) (multiplicity 4)
O (0.177, 0.009, 0.460) (multiplicity 4)
O (0.250, 0.229, 0.755) (multiplicity 4)
O (0.250, 0.289, 0.244) (multiplicity 4)

Largest 10 diffraction maxima, in order of rising 2θ, 10 to 90 degrees two-theta:
h k l  2θ (°)  intensity
2 0 1  18.16  56
1 1 -1  18.50  98
4 0 -1  18.69  100
0 0 3  34.58  18
2 2 1  36.06  29
4 2 -1  36.35  32
4 0 -4  42.23  51
6 2 0  44.10  96
2 2 4  61.95  29
10 2 -4  63.46  28



# 6
Diffraction record for YMg6NiO8. The powder diffractogram is simulated, not measured: it uses a cell relaxed with GGA+U and Cu Kα X-rays.
Lines closer than 0.1° are merged.

Structural model:
Unit cell a=4.345 b=4.345 c=8.961 alpha=90.00 beta=90.00 gamma=90.00
Space group P4/mmm (No. 123)
One atom of each set of equivalent atoms:
Y (0.000, 0.000, 0.000) (multiplicity 1)
Mg (0.000, 0.000, 0.500) (multiplicity 1)
Mg (0.000, 0.500, 0.263) (multiplicity 4)
Mg (0.500, 0.500, 0.500) (multiplicity 1)
Ni (0.500, 0.500, 0.000) (multiplicity 1)
O (0.000, 0.000, 0.260) (multiplicity 2)
O (0.000, 0.500, 0.000) (multiplicity 2)
O (0.000, 0.500, 0.500) (multiplicity 2)
O (0.500, 0.500, 0.272) (multiplicity 2)

Largest 10 diffraction maxima, in order of rising 2θ, 10 to 90 degrees two-theta:
h k l  2θ (°)  intensity
0 0 2  19.82  21
1 1 0  29.07  15
1 1 1  30.77  27
1 1 2  35.43  52
0 0 4  40.26  52
2 0 0  41.57  100
2 0 4  59.25  59
2 2 0  60.25  29
3 1 2  71.87  17
2 2 4  74.96  27



# 7
Diffraction record for Ba4Y2FeCu5O14. The powder diffractogram is simulated, not measured: it uses a cell relaxed with GGA+U and Cu Kα X-rays.
Lines closer than 0.1° are merged.

Structural model:
Unit cell a=7.773 b=23.931 c=3.855 alpha=90.00 beta=90.00 gamma=90.00
Space group C2/m (No. 12)
One atom of each set of equivalent atoms:
Ba (0.248, 0.093, 0.000) (multiplicity 8)
Y (0.250, 0.250, 0.000) (multiplicity 4)
Fe (0.000, 0.500, 0.500) (multiplicity 2)
Cu (0.000, 0.000, 0.500) (multiplicity 2)
Cu (0.000, 0.179, 0.500) (multiplicity 4)
Cu (0.000, 0.321, 0.500) (multiplicity 4)
O (0.000, 0.079, 0.500) (multiplicity 4)
O (0.000, 0.190, 0.000) (multiplicity 4)
O (0.000, 0.310, 0.000) (multiplicity 4)
O (0.000, 0.422, 0.500) (multiplicity 4)
O (0.249, 0.000, 0.439) (multiplicity 4)
O (0.250, 0.190, 0.499) (multiplicity 8)

Largest 10 diffraction maxima, in order of rising 2θ, 10 to 90 degrees two-theta:
h k l  2θ (°)  intensity
2 6 0  32.16  89
0 6 1  32.30  100
2 0 1  32.72  97
2 6 1  39.95  24
4 0 0  46.75  30
0 0 2  47.16  29
2 12 1  57.15  30
4 6 1  57.96  36
2 6 2  58.22  33
4 0 2  68.58  17



# 8
Diffraction record for MgHg2W2O8. The powder diffractogram is simulated, not measured: it uses a cell relaxed with GGA+U and Cu Kα X-rays.
Lines closer than 0.1° are merged.

Structural model:
Unit cell a=11.863 b=6.259 c=5.450 alpha=90.00 beta=114.34 gamma=90.00
Space group C2 (No. 5)
One atom of each set of equivalent atoms:
Mg (0.000, 0.000, 0.000) (multiplicity 2)
Hg (0.204, 0.240, 0.698) (multiplicity 4)
W (0.000, 0.469, 0.000) (multiplicity 2)
W (0.000, 0.755, 0.500) (multiplicity 2)
O (0.094, 0.510, 0.764) (multiplicity 4)
O (0.096, 0.733, 0.255) (multiplicity 4)
O (0.102, 0.953, 0.769) (multiplicity 4)
O (0.112, 0.262, 0.220) (multiplicity 4)

Largest 10 diffraction maxima, in order of rising 2θ, 10 to 90 degrees two-theta:
h k l  2θ (°)  intensity
1 1 0  16.37  30
1 1 -1  21.64  34
1 1 1  26.75  100
3 1 -1  27.79  100
3 1 0  28.57  87
2 0 -2  32.92  53
4 0 0  33.11  44
0 2 1  33.86  46
4 2 1  53.51  35
6 2 -1  54.99  32